[1]
Structure and computed powder XRD pattern of Li4MnFe3B4O12 (a cell relaxed with GGA+U; Cu Kα (λ = 1.5418 Å)).
Lines closer than 0.1° are merged.

The 10 most intense peaks (15° ≤ 2θ ≤ 90°), in order of rising 2θ:
| 2θ (°) | I/Imax |
| --- | --- |
| 19.61 | 55.2 |
| 21.41 | 38.6 |
| 21.56 | 65.0 |
| 26.37 | 29.5 |
| 34.29 | 86.6 |
| 34.48 | 100.0 |
| 40.49 | 22.9 |
| 40.80 | 23.1 |
| 48.49 | 24.8 |
| 54.03 | 23.6 |

Atomic structure:
```
data_Li4MnFe3B4O12
_cell_length_a 5.237
_cell_length_b 9.052
_cell_length_c 10.408
_cell_angle_alpha 88.83
_cell_angle_beta 89.11
_cell_angle_gamma 89.82
_symmetry_space_group_name_H-M 'P 1'
_symmetry_Int_Tables_number 1
_symmetry_space_group_name_Hall 'P 1'
loop_
_atom_site_label
_atom_site_type_symbol
_atom_site_fract_x
_atom_site_fract_y
_atom_site_fract_z
Li1 Li 0.000 0.000 0.000
Li2 Li 0.015 0.993 0.501
Li3 Li 0.329 0.342 0.250
Li4 Li 0.366 0.330 0.753
Li5 Li 0.498 0.499 0.001
Li6 Li 0.514 0.495 0.501
Li7 Li 0.831 0.843 0.253
Li8 Li 0.864 0.832 0.750
Mn1 Mn 0.354 0.668 0.719
Mn2 Mn 0.511 0.166 0.468
Fe1 Fe 0.000 0.335 0.967
Fe2 Fe 0.017 0.661 0.463
Fe3 Fe 0.334 0.009 0.216
Fe4 Fe 0.517 0.835 0.969
Fe5 Fe 0.835 0.509 0.216
Fe6 Fe 0.864 0.169 0.717
B1 B 0.008 0.337 0.460
B2 B 0.015 0.666 0.962
B3 B 0.343 0.671 0.209
B4 B 0.354 0.001 0.713
B5 B 0.505 0.834 0.458
B6 B 0.512 0.166 0.960
B7 B 0.840 0.171 0.209
B8 B 0.851 0.499 0.709
O1 O 0.087 0.681 0.247
O2 O 0.091 0.990 0.699
O3 O 0.270 0.349 0.444
O4 O 0.276 0.654 0.933
O5 O 0.354 0.958 0.428
O6 O 0.372 0.041 0.001
O7 O 0.387 0.703 0.500
O8 O 0.393 0.301 0.947
O9 O 0.458 0.533 0.197
O10 O 0.474 0.136 0.682
O11 O 0.485 0.798 0.180
O12 O 0.498 0.880 0.752
O13 O 0.585 0.181 0.248
O14 O 0.590 0.484 0.695
O15 O 0.768 0.841 0.446
O16 O 0.775 0.153 0.932
O17 O 0.853 0.460 0.429
O18 O 0.875 0.542 0.001
O19 O 0.893 0.801 0.947
O20 O 0.898 0.204 0.503
O21 O 0.956 0.033 0.197
O22 O 0.965 0.635 0.679
O23 O 0.982 0.298 0.181
O24 O 0.999 0.379 0.750
```

[2]
Structure and computed powder XRD pattern of Li8MnFe7B8O24 (a cell relaxed with GGA+U; Cu Kα (λ = 1.5418 Å)).
Lines closer than 0.1° are merged.

The 10 most intense peaks (15° ≤ 2θ ≤ 90°), in order of rising 2θ:
| 2θ (°) | I/Imax |
| --- | --- |
| 20.34 | 91.6 |
| 20.69 | 24.2 |
| 22.27 | 33.9 |
| 22.56 | 64.6 |
| 30.45 | 20.8 |
| 33.59 | 100.0 |
| 34.27 | 57.7 |
| 34.65 | 25.7 |
| 40.23 | 24.4 |
| 41.19 | 32.7 |

Atomic structure:
```
data_Li8MnFe7B8O24
_cell_length_a 6.026
_cell_length_b 9.715
_cell_length_c 9.721
_cell_angle_alpha 65.10
_cell_angle_beta 79.67
_cell_angle_gamma 78.52
_symmetry_space_group_name_H-M 'P 1'
_symmetry_Int_Tables_number 1
_symmetry_space_group_name_Hall 'P 1'
loop_
_atom_site_label
_atom_site_type_symbol
_atom_site_fract_x
_atom_site_fract_y
_atom_site_fract_z
Li1 Li 0.000 0.000 0.000
Li2 Li 0.000 0.499 0.501
Li3 Li 0.409 0.566 0.370
Li4 Li 0.410 0.067 0.870
Li5 Li 0.499 0.500 0.001
Li6 Li 0.500 0.000 0.502
Li7 Li 0.909 0.567 0.870
Li8 Li 0.910 0.069 0.371
Mn1 Mn 0.769 0.827 0.311
Fe1 Fe 0.139 0.243 0.060
Fe2 Fe 0.143 0.738 0.558
Fe3 Fe 0.270 0.326 0.314
Fe4 Fe 0.270 0.826 0.808
Fe5 Fe 0.636 0.742 0.056
Fe6 Fe 0.640 0.243 0.558
Fe7 Fe 0.772 0.323 0.813
B1 B 0.120 0.165 0.648
B2 B 0.121 0.665 0.146
B3 B 0.288 0.901 0.223
B4 B 0.291 0.400 0.724
B5 B 0.618 0.167 0.148
B6 B 0.623 0.663 0.650
B7 B 0.790 0.402 0.223
B8 B 0.791 0.901 0.723
O1 O 0.119 0.395 0.842
O2 O 0.119 0.897 0.343
O3 O 0.132 0.546 0.289
O4 O 0.133 0.046 0.790
O5 O 0.276 0.021 0.081
O6 O 0.278 0.520 0.582
O7 O 0.291 0.171 0.529
O8 O 0.296 0.671 0.029
O9 O 0.437 0.288 0.122
O10 O 0.441 0.785 0.624
O11 O 0.468 0.779 0.247
O12 O 0.472 0.279 0.748
O13 O 0.618 0.896 0.841
O14 O 0.619 0.395 0.342
O15 O 0.631 0.545 0.792
O16 O 0.632 0.050 0.291
O17 O 0.777 0.520 0.082
O18 O 0.778 0.021 0.581
O19 O 0.790 0.170 0.030
O20 O 0.796 0.668 0.533
O21 O 0.939 0.287 0.624
O22 O 0.940 0.786 0.120
O23 O 0.971 0.780 0.748
O24 O 0.972 0.280 0.247
```

[3]
Structure and computed powder XRD pattern of Li6MnFe5B6O18 (a cell relaxed with GGA+U; Cu Kα (λ = 1.5418 Å)).
Lines closer than 0.1° are merged.

The 10 most intense peaks (15° ≤ 2θ ≤ 90°), in order of rising 2θ:
| 2θ (°) | I/Imax |
| --- | --- |
| 21.55 | 100.0 |
| 31.14 | 15.4 |
| 33.18 | 14.9 |
| 35.97 | 77.7 |
| 37.79 | 31.5 |
| 47.97 | 27.4 |
| 53.16 | 24.3 |
| 54.81 | 17.1 |
| 58.88 | 10.4 |
| 67.04 | 11.3 |

Atomic structure:
```
data_Li6MnFe5B6O18
_cell_length_a 8.242
_cell_length_b 3.137
_cell_length_c 14.295
_cell_angle_alpha 90.00
_cell_angle_beta 90.06
_cell_angle_gamma 90.00
_symmetry_space_group_name_H-M 'P 1 m 1'
_symmetry_Int_Tables_number 6
_symmetry_space_group_name_Hall 'P -2y'
loop_
_atom_site_label
_atom_site_type_symbol
_atom_site_fract_x
_atom_site_fract_y
_atom_site_fract_z
Li1 Li 0.000 0.000 0.000
Li2 Li 0.024 0.000 0.295
Li3 Li 0.074 0.000 0.659
Li4 Li 0.502 0.000 0.502
Li5 Li 0.527 0.000 0.793
Li6 Li 0.573 0.000 0.159
Mn1 Mn 0.234 0.500 0.146
Fe1 Fe 0.179 0.500 0.472
Fe2 Fe 0.191 0.500 0.835
Fe3 Fe 0.680 0.500 0.972
Fe4 Fe 0.691 0.500 0.335
Fe5 Fe 0.732 0.500 0.647
B1 B 0.367 0.500 0.652
B2 B 0.368 0.000 0.319
B3 B 0.368 0.000 0.983
B4 B 0.866 0.500 0.153
B5 B 0.867 0.000 0.485
B6 B 0.867 0.000 0.818
O1 O 0.004 0.500 0.208
O2 O 0.018 0.000 0.861
O3 O 0.022 0.000 0.524
O4 O 0.216 0.500 0.694
O5 O 0.227 0.000 0.373
O6 O 0.230 0.000 0.039
O7 O 0.350 0.000 0.886
O8 O 0.358 0.000 0.223
O9 O 0.379 0.500 0.555
O10 O 0.507 0.500 0.706
O11 O 0.518 0.000 0.363
O12 O 0.521 0.000 0.024
O13 O 0.713 0.500 0.194
O14 O 0.728 0.000 0.872
O15 O 0.731 0.000 0.543
O16 O 0.848 0.000 0.388
O17 O 0.856 0.000 0.721
O18 O 0.879 0.500 0.055
```

[4]
Structure and computed powder XRD pattern of Li8MnFe7B8O24 (a cell relaxed with GGA+U; Cu Kα (λ = 1.5418 Å)).
Lines closer than 0.1° are merged.

The 10 most intense peaks (15° ≤ 2θ ≤ 90°), in order of rising 2θ:
| 2θ (°) | I/Imax |
| --- | --- |
| 20.32 | 89.3 |
| 20.70 | 25.0 |
| 22.32 | 32.8 |
| 22.52 | 62.3 |
| 33.88 | 100.0 |
| 34.21 | 56.5 |
| 34.65 | 26.0 |
| 40.23 | 23.5 |
| 41.18 | 31.6 |
| 61.89 | 23.5 |

Atomic structure:
```
data_Li8MnFe7B8O24
_cell_length_a 5.240
_cell_length_b 9.016
_cell_length_c 11.117
_cell_angle_alpha 107.81
_cell_angle_beta 90.76
_cell_angle_gamma 90.81
_symmetry_space_group_name_H-M 'P 1'
_symmetry_Int_Tables_number 1
_symmetry_space_group_name_Hall 'P 1'
loop_
_atom_site_label
_atom_site_type_symbol
_atom_site_fract_x
_atom_site_fract_y
_atom_site_fract_z
Li1 Li 0.000 0.000 0.000
Li2 Li 0.000 0.499 0.499
Li3 Li 0.193 0.264 0.323
Li4 Li 0.193 0.765 0.823
Li5 Li 0.499 0.499 0.002
Li6 Li 0.500 0.000 0.500
Li7 Li 0.693 0.764 0.323
Li8 Li 0.695 0.264 0.826
Mn1 Mn 0.676 0.580 0.779
Fe1 Fe 0.010 0.182 0.544
Fe2 Fe 0.016 0.685 0.043
Fe3 Fe 0.175 0.584 0.278
Fe4 Fe 0.183 0.083 0.779
Fe5 Fe 0.509 0.182 0.044
Fe6 Fe 0.509 0.682 0.540
Fe7 Fe 0.683 0.084 0.279
B1 B 0.017 0.346 0.034
B2 B 0.017 0.847 0.532
B3 B 0.177 0.919 0.292
B4 B 0.178 0.418 0.793
B5 B 0.517 0.346 0.531
B6 B 0.520 0.846 0.034
B7 B 0.675 0.920 0.791
B8 B 0.677 0.419 0.292
O1 O 0.028 0.280 0.750
O2 O 0.032 0.780 0.251
O3 O 0.052 0.061 0.319
O4 O 0.059 0.561 0.822
O5 O 0.139 0.704 0.505
O6 O 0.140 0.204 0.006
O7 O 0.164 0.485 0.074
O8 O 0.164 0.985 0.573
O9 O 0.256 0.349 0.514
O10 O 0.259 0.850 0.015
O11 O 0.438 0.409 0.811
O12 O 0.438 0.915 0.309
O13 O 0.527 0.782 0.748
O14 O 0.530 0.280 0.251
O15 O 0.551 0.062 0.820
O16 O 0.552 0.561 0.320
O17 O 0.642 0.204 0.505
O18 O 0.643 0.703 0.007
O19 O 0.663 0.485 0.571
O20 O 0.665 0.985 0.073
O21 O 0.756 0.852 0.514
O22 O 0.757 0.350 0.016
O23 O 0.935 0.915 0.810
O24 O 0.938 0.413 0.309
```

[5]
Structure and computed powder XRD pattern of Li3Mn2FeB4O12 (a cell relaxed with GGA+U; Cu Kα (λ = 1.5418 Å)).
Lines closer than 0.1° are merged.

The 10 most intense peaks (15° ≤ 2θ ≤ 90°), in order of rising 2θ:
| 2θ (°) | I/Imax |
| --- | --- |
| 18.68 | 100.0 |
| 20.77 | 54.5 |
| 25.86 | 13.3 |
| 30.64 | 24.7 |
| 33.96 | 45.1 |
| 34.42 | 16.2 |
| 37.20 | 46.5 |
| 40.23 | 14.8 |
| 53.78 | 11.7 |
| 61.36 | 10.8 |

Atomic structure:
```
data_Li3Mn2FeB4O12
_cell_length_a 5.229
_cell_length_b 9.182
_cell_length_c 10.639
_cell_angle_alpha 90.00
_cell_angle_beta 114.68
_cell_angle_gamma 90.00
_symmetry_space_group_name_H-M 'P 1 c 1'
_symmetry_Int_Tables_number 7
_symmetry_space_group_name_Hall 'P -2yc'
loop_
_atom_site_label
_atom_site_type_symbol
_atom_site_fract_x
_atom_site_fract_y
_atom_site_fract_z
Li1 Li 0.000 0.227 0.000
Li2 Li 0.008 0.268 0.679
Li3 Li 0.425 0.239 0.463
Mn1 Mn 0.483 0.442 0.966
Mn2 Mn 0.530 0.075 0.722
Fe1 Fe 0.578 0.263 0.235
B1 B 0.071 0.068 0.235
B2 B 0.491 0.094 0.986
B3 B 0.534 0.402 0.713
B4 B 0.943 0.442 0.454
O1 O 0.141 0.069 0.712
O2 O 0.196 0.416 0.448
O3 O 0.242 0.187 0.243
O4 O 0.340 0.400 0.771
O5 O 0.398 0.224 0.022
O6 O 0.421 0.038 0.526
O7 O 0.605 0.463 0.171
O8 O 0.650 0.279 0.688
O9 O 0.666 0.100 0.917
O10 O 0.752 0.327 0.430
O11 O 0.820 0.093 0.249
O12 O 0.869 0.423 0.982
```

[6]
Structure and computed powder XRD pattern of Li8Mn7FeB8O24 (a cell relaxed with GGA+U; Cu Kα (λ = 1.5418 Å)).
Lines closer than 0.1° are merged.

The 10 most intense peaks (15° ≤ 2θ ≤ 90°), in order of rising 2θ:
| 2θ (°) | I/Imax |
| --- | --- |
| 19.49 | 35.2 |
| 21.27 | 19.7 |
| 21.46 | 31.5 |
| 25.46 | 12.2 |
| 25.49 | 12.3 |
| 26.22 | 15.5 |
| 34.07 | 100.0 |
| 40.23 | 24.5 |
| 40.56 | 12.3 |
| 48.09 | 13.9 |

Atomic structure:
```
data_Li8Mn7FeB8O24
_cell_length_a 5.263
_cell_length_b 9.116
_cell_length_c 11.625
_cell_angle_alpha 68.43
_cell_angle_beta 77.77
_cell_angle_gamma 89.79
_symmetry_space_group_name_H-M 'P 1'
_symmetry_Int_Tables_number 1
_symmetry_space_group_name_Hall 'P 1'
loop_
_atom_site_label
_atom_site_type_symbol
_atom_site_fract_x
_atom_site_fract_y
_atom_site_fract_z
Li1 Li 0.000 0.000 0.000
Li2 Li 0.023 0.040 0.250
Li3 Li 0.266 0.244 0.500
Li4 Li 0.314 0.277 0.749
Li5 Li 0.500 0.500 0.999
Li6 Li 0.523 0.540 0.250
Li7 Li 0.764 0.745 0.499
Li8 Li 0.814 0.775 0.751
Mn1 Mn 0.025 0.347 0.964
Mn2 Mn 0.051 0.719 0.215
Mn3 Mn 0.272 0.926 0.468
Mn4 Mn 0.523 0.844 0.966
Mn5 Mn 0.551 0.219 0.215
Mn6 Mn 0.772 0.428 0.465
Mn7 Mn 0.820 0.129 0.716
Fe1 Fe 0.324 0.627 0.715
B1 B 0.030 0.680 0.957
B2 B 0.059 0.392 0.208
B3 B 0.271 0.598 0.459
B4 B 0.325 0.968 0.709
B5 B 0.530 0.180 0.957
B6 B 0.559 0.892 0.208
B7 B 0.771 0.098 0.458
B8 B 0.822 0.473 0.707
O1 O 0.026 0.629 0.429
O2 O 0.058 0.443 0.746
O3 O 0.119 0.790 0.000
O4 O 0.196 0.855 0.681
O5 O 0.200 0.574 0.926
O6 O 0.223 0.113 0.693
O7 O 0.276 0.176 0.942
O8 O 0.326 0.414 0.193
O9 O 0.390 0.990 0.249
O10 O 0.391 0.469 0.443
O11 O 0.391 0.698 0.501
O12 O 0.458 0.772 0.178
O13 O 0.527 0.129 0.428
O14 O 0.558 0.935 0.749
O15 O 0.621 0.290 0.999
O16 O 0.696 0.359 0.679
O17 O 0.698 0.073 0.927
O18 O 0.713 0.615 0.694
O19 O 0.776 0.675 0.943
O20 O 0.826 0.914 0.193
O21 O 0.890 0.490 0.249
O22 O 0.891 0.199 0.500
O23 O 0.893 0.970 0.443
O24 O 0.958 0.272 0.178
```

[7]
Structure and computed powder XRD pattern of Li4MnFe3B4O12 (a cell relaxed with GGA+U; Cu Kα (λ = 1.5418 Å)).
Lines closer than 0.1° are merged.

The 10 most intense peaks (15° ≤ 2θ ≤ 90°), in order of rising 2θ:
| 2θ (°) | I/Imax |
| --- | --- |
| 19.54 | 59.7 |
| 21.33 | 35.3 |
| 21.65 | 66.3 |
| 25.65 | 44.3 |
| 26.48 | 27.9 |
| 34.14 | 28.9 |
| 34.33 | 57.4 |
| 34.42 | 100.0 |
| 40.63 | 44.4 |
| 48.65 | 28.2 |

Atomic structure:
```
data_Li4MnFe3B4O12
_cell_length_a 5.226
_cell_length_b 5.228
_cell_length_c 20.861
_cell_angle_alpha 89.04
_cell_angle_beta 87.92
_cell_angle_gamma 60.34
_symmetry_space_group_name_H-M 'P 1'
_symmetry_Int_Tables_number 1
_symmetry_space_group_name_Hall 'P 1'
loop_
_atom_site_label
_atom_site_type_symbol
_atom_site_fract_x
_atom_site_fract_y
_atom_site_fract_z
Li1 Li 0.000 0.000 0.000
Li2 Li 0.003 0.008 0.500
Li3 Li 0.013 0.977 0.749
Li4 Li 0.026 0.974 0.253
Li5 Li 0.315 0.008 0.376
Li6 Li 0.323 0.976 0.625
Li7 Li 0.328 0.017 0.873
Li8 Li 0.342 0.976 0.125
Mn1 Mn 0.010 0.649 0.109
Mn2 Mn 0.342 0.325 0.734
Fe1 Fe 0.000 0.645 0.607
Fe2 Fe 0.362 0.310 0.233
Fe3 Fe 0.663 0.336 0.359
Fe4 Fe 0.668 0.666 0.983
Fe5 Fe 0.674 0.332 0.858
Fe6 Fe 0.676 0.672 0.482
B1 B 0.001 0.672 0.856
B2 B 0.004 0.658 0.355
B3 B 0.341 0.320 0.979
B4 B 0.344 0.327 0.480
B5 B 0.661 0.326 0.603
B6 B 0.672 0.659 0.730
B7 B 0.675 0.323 0.105
B8 B 0.684 0.654 0.232
O1 O 0.018 0.914 0.348
O2 O 0.020 0.926 0.848
O3 O 0.096 0.583 0.999
O4 O 0.099 0.592 0.498
O5 O 0.251 0.401 0.842
O6 O 0.252 0.385 0.341
O7 O 0.317 0.069 0.973
O8 O 0.321 0.075 0.474
O9 O 0.397 0.903 0.724
O10 O 0.409 0.315 0.624
O11 O 0.412 0.904 0.225
O12 O 0.431 0.301 0.127
O13 O 0.612 0.306 0.965
O14 O 0.616 0.312 0.465
O15 O 0.638 0.601 0.589
O16 O 0.640 0.600 0.090
O17 O 0.703 0.389 0.251
O18 O 0.703 0.389 0.750
O19 O 0.737 0.685 0.875
O20 O 0.738 0.672 0.376
O21 O 0.924 0.682 0.714
O22 O 0.929 0.071 0.596
O23 O 0.941 0.667 0.216
O24 O 0.949 0.075 0.097
```

Question: Number 4 is which compound?
Answer: Li8MnFe7B8O24